(1)
The following is a simulated XRD peak list of U2Mn3. It was derived from a structure optimized by DFT (PBE), using λ = 1.5418 Å (Cu Kα).

Main lines, by angle (2θ = 10–80°):
two_theta, I/Imax
23.45, 38.2
29.55, 76.1
29.87, 100.0
30.14, 94.8
34.82, 62.3
35.23, 57.7
35.72, 38.6
38.23, 54.2
38.46, 66.3
39.15, 31.0
45.87, 59.1
46.17, 38.8

Cell and atoms:
Lattice parameters (Å, degrees): 4.425 5.291 7.742 85.62 78.21 65.56
Fractional coordinates of all 10 atoms:
U 0.000 0.000 0.000
U 0.024 0.482 0.684
U 0.662 0.134 0.491
U 0.708 0.620 0.189
Mn 0.138 0.149 0.365
Mn 0.211 0.643 0.311
Mn 0.333 0.795 0.585
Mn 0.443 0.253 0.088
Mn 0.479 0.972 0.841
Mn 0.550 0.473 0.820

(2)
The following is a simulated XRD peak list of YU2Mn9. It was derived from a structure optimized by DFT (PBE), using λ = 1.5418 Å (Cu Kα).

Main lines, by angle (2θ = 10–80°):
two_theta, I/Imax
15.35, 52.2
16.90, 30.8
22.91, 26.9
24.38, 32.8
29.81, 56.7
34.18, 33.0
38.88, 79.3
40.89, 26.5
42.43, 100.0
43.53, 91.6
45.83, 30.3
47.82, 27.7

Cell and atoms:
Lattice parameters (Å, degrees): 8.164 8.164 5.246 90.00 90.00 90.00
Fractional coordinates of all 24 atoms:
Y 0.000 0.000 0.000
Y 0.500 0.500 0.000
U 0.113 0.387 0.000
U 0.387 0.887 0.000
U 0.613 0.113 0.000
U 0.887 0.613 0.000
Mn 0.000 0.500 0.500
Mn 0.068 0.208 0.500
Mn 0.185 0.685 0.251
Mn 0.185 0.685 0.749
Mn 0.208 0.932 0.500
Mn 0.292 0.432 0.500
Mn 0.315 0.185 0.251
Mn 0.315 0.185 0.749
Mn 0.432 0.708 0.500
Mn 0.500 0.000 0.500
Mn 0.568 0.292 0.500
Mn 0.685 0.815 0.251
Mn 0.685 0.815 0.749
Mn 0.708 0.568 0.500
Mn 0.792 0.068 0.500
Mn 0.815 0.315 0.251
Mn 0.815 0.315 0.749
Mn 0.932 0.792 0.500

(3)
The following is a simulated XRD peak list of UMnZn11. It was derived from a structure optimized by DFT (PBE), using λ = 1.5418 Å (Cu Kα).

Main lines, by angle (2θ = 10–80°):
two_theta, I/Imax
14.09, 18.4
19.77, 16.3
28.25, 47.8
31.83, 21.8
34.48, 24.0
34.84, 67.0
40.17, 84.7
40.47, 92.0
40.59, 100.0
45.23, 19.9
65.81, 21.7
73.68, 26.6

Cell and atoms:
Lattice parameters (Å, degrees): 6.809 6.809 6.790 98.37 98.37 135.09
Fractional coordinates of all 13 atoms:
U 0.000 0.000 0.000
Mn 0.000 0.000 0.500
Zn 0.000 0.500 0.000
Zn 0.010 0.663 0.646
Zn 0.280 0.497 0.782
Zn 0.337 0.990 0.354
Zn 0.497 0.280 0.782
Zn 0.500 0.000 0.000
Zn 0.500 0.500 0.500
Zn 0.503 0.720 0.218
Zn 0.663 0.010 0.646
Zn 0.720 0.503 0.218
Zn 0.990 0.337 0.354

(4)
The following is a simulated XRD peak list of MnV3. It was derived from a structure optimized by DFT (PBE), using λ = 1.5418 Å (Cu Kα).

Main lines, by angle (2θ = 10–80°):
two_theta, I/Imax
24.18, 0.7
42.85, 26.2
43.72, 100.0
44.29, 24.1
63.33, 14.6
63.76, 7.4
79.11, 14.1
79.91, 7.0

Cell and atoms:
Lattice parameters (Å, degrees): 2.920 4.090 8.441 90.00 90.00 90.00
Fractional coordinates of all 8 atoms:
Mn 0.000 0.000 0.000
Mn 0.500 0.500 0.500
V 0.000 0.000 0.500
V 0.000 0.500 0.258
V 0.000 0.500 0.742
V 0.500 0.000 0.242
V 0.500 0.000 0.758
V 0.500 0.500 0.000